Starting from a crystal structure in Alexandria, relaxed with GGA-PBE, the X-ray diffraction stick pattern of Sm4YHo8 was calculated for Cu Kα, 1.54184 Å.

Principal peaks in the range 15° ≤ 2θ ≤ 90°, by intensity:
2θ 32.61, intensity 100.0, (2 2 0); 2θ 58.20, intensity 36.8, (4 2 2); 2θ 46.79, intensity 18.0, (4 0 0); 2θ 19.80, intensity 15.3, (1 1 1); 2θ 77.78, intensity 15.1, (6 2 0); 2θ 22.90, intensity 11.3, (2 0 0); 2θ 68.33, intensity 11.1, (4 4 0); 2θ 38.44, intensity 8.5, (3 1 1); 2θ 52.71, intensity 4.2, (4 2 0); 2θ 86.90, intensity 3.8, (4 4 4)

Structure:
```
data_Sm4YHo8
_chemical_formula_sum 'Sm4 Y1 Ho8'
_cell_length_a 7.7660
_cell_length_b 7.7660
_cell_length_c 7.7660
_cell_angle_alpha 90.00
_cell_angle_beta 90.00
_cell_angle_gamma 90.00
_space_group_name_H-M_alt 'P m -3 m'
_space_group_IT_number 221
_space_group_name_Hall '-P 4 2 3'
loop_
_atom_site_label
_atom_site_fract_x
_atom_site_fract_y
_atom_site_fract_z
Sm1 0.0000 0.0000 0.0000
Sm2 0.0000 0.5000 0.5000
Y1 0.5000 0.5000 0.5000
Ho1 0.2398 0.2398 0.2398
```